This entry pairs a crystal structure of Na2NiSn with its calculated X-ray diffraction stick pattern. Radiation: a wavelength of 1.5418 Å. Structure: a PBE-relaxed structure.
Peak positions follow from Bragg's law for the DFT cell and can differ from measured ones.

Largest 6 diffraction maxima, low angle first, 10° ≤ 2θ ≤ 80°:
hkl  2θ (°)  I/Imax
0 0 1  17.28  54
1 1 0  32.11  24
0 0 2  34.96  29
1 1 1  36.68  100
0 2 0  42.40  17
1 1 3  63.83  19

Crystal structure
```
data_Na2NiSn
_cell_length_a 3.6844
_cell_length_b 4.2639
_cell_length_c 5.1332
_cell_angle_alpha 90.00
_cell_angle_beta 90.00
_cell_angle_gamma 90.00
_symmetry_space_group_name_H-M 'P m m m'
_symmetry_Int_Tables_number 47
_symmetry_space_group_name_Hall '-P 2 2'
loop_
_atom_site_label
_atom_site_fract_x
_atom_site_fract_y
_atom_site_fract_z
Na1 0.0000 0.0000 0.0000
Na2 0.5000 0.5000 0.0000
Ni1 0.0000 0.5000 0.5000
Sn1 0.5000 0.0000 0.5000
```

This entry pairs a crystal structure of Zr6Al16Pt7 with its calculated X-ray diffraction stick pattern. Radiation: a wavelength of 1.5418 Å. Structure: a PBE-relaxed structure.
Peak positions follow from Bragg's law for the DFT cell and can differ from measured ones.

Largest 6 diffraction maxima, low angle first, 10° ≤ 2θ ≤ 80°:
hkl  2θ (°)  I/Imax
2 2 2  24.79  66
4 0 0  28.70  77
3 3 3  37.56  25
4 4 0  41.03  100
6 2 2  48.53  63
6 6 2  65.38  31

Crystal structure
```
data_Zr6Al16Pt7
_cell_length_a 12.4435
_cell_length_b 12.4435
_cell_length_c 12.4435
_cell_angle_alpha 90.00
_cell_angle_beta 90.00
_cell_angle_gamma 90.00
_symmetry_space_group_name_H-M 'F m -3 m'
_symmetry_Int_Tables_number 225
_symmetry_space_group_name_Hall '-F 4 2 3'
loop_
_atom_site_label
_atom_site_fract_x
_atom_site_fract_y
_atom_site_fract_z
Zr1 0.0000 0.0000 0.1860
Al1 0.1203 0.1203 0.3797
Al2 0.1654 0.1654 0.1654
Pt1 0.0000 0.0000 0.5000
Pt2 0.0000 0.2500 0.2500
```

This entry pairs a crystal structure of Li10GeP2O12 with its calculated X-ray diffraction stick pattern. Radiation: a wavelength of 1.5418 Å. Structure: a PBE-relaxed structure.
Peak positions follow from Bragg's law for the DFT cell and can differ from measured ones.

Largest 6 diffraction maxima, low angle first, 10° ≤ 2θ ≤ 80°:
hkl  2θ (°)  I/Imax
1 0 1  15.45  59
1 1 0  17.96  85
1 0 2  21.30  46
1 1 -2  24.71  100
0 2 0  24.92  54
0 2 -3  35.87  57

Crystal structure
```
data_Li10GeP2O12
_cell_length_a 6.8368
_cell_length_b 7.1460
_cell_length_c 10.5270
_cell_angle_alpha 89.89
_cell_angle_beta 89.85
_cell_angle_gamma 89.75
_symmetry_space_group_name_H-M 'P 1'
_symmetry_Int_Tables_number 1
_symmetry_space_group_name_Hall 'P 1'
loop_
_atom_site_label
_atom_site_fract_x
_atom_site_fract_y
_atom_site_fract_z
Li1 0.0000 0.0000 0.0000
Li2 0.0024 0.4992 0.3544
Li3 0.0084 0.9855 0.4941
Li4 0.0153 0.4194 0.7324
Li5 0.0746 0.0138 0.2429
Li6 0.2610 0.6731 0.9153
Li7 0.2873 0.3113 0.2291
Li8 0.3000 0.2025 0.7313
Li9 0.3318 0.7148 0.4079
Li10 0.5003 0.9771 0.8466
Li11 0.5086 0.0244 0.3356
Li12 0.5215 0.5863 0.1029
Li13 0.5221 0.4708 0.6808
Li14 0.5283 0.9446 0.0938
Li15 0.5983 0.9891 0.5963
Li16 0.6405 0.3437 0.4314
Li17 0.7310 0.3167 0.9097
Li18 0.7944 0.6903 0.6039
Li19 0.9884 0.5934 0.0979
Li20 0.9988 0.0381 0.7424
Ge1 0.2577 0.2505 0.4886
Ge2 0.7626 0.7298 0.8652
P1 0.2601 0.2563 0.9807
P2 0.2619 0.7436 0.6622
P3 0.7528 0.7595 0.3398
P4 0.7645 0.2632 0.1692
O1 0.0629 0.2223 0.6005
O2 0.0773 0.7521 0.5788
O3 0.0775 0.2354 0.8918
O4 0.2467 0.0441 0.3904
O5 0.2546 0.0920 0.0809
O6 0.2606 0.4464 0.0545
O7 0.2620 0.5599 0.7437
O8 0.2640 0.4502 0.3906
O9 0.2666 0.9183 0.7514
O10 0.4456 0.2361 0.8956
O11 0.4522 0.7397 0.5805
O12 0.4824 0.2430 0.5778
O13 0.5417 0.7599 0.9574
O14 0.5602 0.7710 0.2582
O15 0.5784 0.2565 0.2558
O16 0.7465 0.9245 0.7546
O17 0.7494 0.9372 0.4266
O18 0.7538 0.4383 0.0811
O19 0.7556 0.5824 0.4260
O20 0.7607 0.5216 0.7701
O21 0.7701 0.0865 0.0846
O22 0.9440 0.7534 0.2588
O23 0.9502 0.2738 0.2531
O24 0.9832 0.7492 0.9500
```

This entry pairs a crystal structure of Zn3As2O8 with its calculated X-ray diffraction stick pattern. Radiation: a wavelength of 1.5418 Å. Structure: a PBE-relaxed structure.
Peak positions follow from Bragg's law for the DFT cell and can differ from measured ones.

Largest 6 diffraction maxima, low angle first, 10° ≤ 2θ ≤ 80°:
hkl  2θ (°)  I/Imax
1 0 0  19.03  32
1 1 0  21.64  48
0 1 2  24.79  100
2 0 -2  33.78  65
1 3 -1  35.39  66
2 3 1  56.17  40

Crystal structure
```
data_Zn3As2O8
_cell_length_a 5.3399
_cell_length_b 8.6667
_cell_length_c 9.0367
_cell_angle_alpha 90.00
_cell_angle_beta 119.17
_cell_angle_gamma 90.00
_symmetry_space_group_name_H-M 'P 1 21/c 1'
_symmetry_Int_Tables_number 14
_symmetry_space_group_name_Hall '-P 2ybc'
loop_
_atom_site_label
_atom_site_fract_x
_atom_site_fract_y
_atom_site_fract_z
Zn1 0.0000 0.0000 0.0000
Zn2 0.0209 0.1404 0.6095
As1 0.3478 0.6911 0.3061
O1 0.1726 0.6318 0.7466
O2 0.2060 0.5663 0.1356
O3 0.2763 0.6367 0.4645
O4 0.2877 0.1957 0.1185
```

What did the second record say?
This entry pairs a crystal structure of Zr6Al16Pt7 with its calculated X-ray diffraction stick pattern. Radiation: a wavelength of 1.5418 Å. Structure: a PBE-relaxed structure.
Peak positions follow from Bragg's law for the DFT cell and can differ from measured ones.

Largest 6 diffraction maxima, low angle first, 10° ≤ 2θ ≤ 80°:
hkl  2θ (°)  I/Imax
2 2 2  24.79  66
4 0 0  28.70  77
3 3 3  37.56  25
4 4 0  41.03  100
6 2 2  48.53  63
6 6 2  65.38  31

Crystal structure
```
data_Zr6Al16Pt7
_cell_length_a 12.4435
_cell_length_b 12.4435
_cell_length_c 12.4435
_cell_angle_alpha 90.00
_cell_angle_beta 90.00
_cell_angle_gamma 90.00
_symmetry_space_group_name_H-M 'F m -3 m'
_symmetry_Int_Tables_number 225
_symmetry_space_group_name_Hall '-F 4 2 3'
loop_
_atom_site_label
_atom_site_fract_x
_atom_site_fract_y
_atom_site_fract_z
Zr1 0.0000 0.0000 0.1860
Al1 0.1203 0.1203 0.3797
Al2 0.1654 0.1654 0.1654
Pt1 0.0000 0.0000 0.5000
Pt2 0.0000 0.2500 0.2500
```